Entry 1:
This entry pairs a crystal structure of MgV4O5F7 with its calculated XRD peak list. Radiation: Cu Kα, 1.54184 Å. Structure: DFT lattice parameters and positions (PBE+U).
Peak positions follow from Bragg's law for the DFT cell and can differ from measured ones.

Atomic structure:
Unit cell a=5.2268 b=5.4274 c=9.0203 alpha=106.56 beta=90.11 gamma=118.18
Fractional coordinates of all 17 atoms:
Mg1 0.0000 0.0000 0.0000
V1 0.1051 0.1356 0.3641
V2 0.3268 0.6704 0.1027
V3 0.5182 0.0678 0.8396
V4 0.8296 0.5871 0.6016
O1 0.1073 0.8474 0.7917
O2 0.1177 0.8572 0.1635
O3 0.4634 0.3493 0.4318
O4 0.5570 0.8460 0.9786
O5 0.9685 0.3628 0.5191
F1 0.0266 0.8581 0.4778
F2 0.0793 0.3417 0.2116
F3 0.4390 0.3317 0.0304
F4 0.5866 0.3579 0.7331
F5 0.6289 0.8316 0.6671
F6 0.6357 0.8754 0.2777
F7 0.9754 0.3345 0.9317

Peak list (6 most intense, 2θ from 15° to 90°, low angle first)
| 2theta | d [Å] | I/Imax |
| --- | --- | --- |
| 23.59 | 3.772 | 100 |
| 23.79 | 3.741 | 51 |
| 33.20 | 2.698 | 12 |
| 34.35 | 2.610 | 12 |
| 48.26 | 1.886 | 24 |
| 53.24 | 1.721 | 12 |

***

Entry 2:
This entry pairs a crystal structure of LiCo3O2F6 with its calculated XRD peak list. Radiation: Cu Kα, 1.54184 Å. Structure: DFT lattice parameters and positions (PBE+U).
Peak positions follow from Bragg's law for the DFT cell and can differ from measured ones.

Atomic structure:
Unit cell a=5.5355 b=4.6027 c=10.2259 alpha=90.00 beta=97.21 gamma=90.00
Fractional coordinates of all 24 atoms:
Li1 0.0000 0.2493 0.0000
Li2 0.0000 0.7507 0.5000
Co1 0.2646 0.2202 0.7555
Co2 0.2646 0.7798 0.2555
Co3 0.5021 0.2589 0.5045
Co4 0.5021 0.7411 0.0045
Co5 0.7305 0.2756 0.2451
Co6 0.7305 0.7244 0.7451
O1 0.4715 0.0620 0.3292
O2 0.4715 0.9380 0.8292
O3 0.5300 0.4403 0.6662
O4 0.5300 0.5597 0.1662
F1 0.0309 0.4743 0.1830
F2 0.0309 0.5257 0.6830
F3 0.2261 0.0525 0.5745
F4 0.2261 0.9475 0.0745
F5 0.2720 0.4410 0.9224
F6 0.2720 0.5590 0.4224
F7 0.7226 0.0611 0.0763
F8 0.7226 0.9389 0.5763
F9 0.7720 0.4499 0.4239
F10 0.7720 0.5501 0.9239
F11 0.9662 0.0258 0.8168
F12 0.9662 0.9742 0.3168

Peak list (6 most intense, 2θ from 15° to 90°, low angle first)
| 2theta | d [Å] | I/Imax |
| --- | --- | --- |
| 16.14 | 5.492 | 19 |
| 27.43 | 3.252 | 100 |
| 35.22 | 2.548 | 39 |
| 53.60 | 1.710 | 32 |
| 53.91 | 1.701 | 16 |
| 56.61 | 1.626 | 21 |

***

Entry 3:
This entry pairs a crystal structure of Li4Ti3Mn2V3O16 with its calculated XRD peak list. Radiation: Cu Kα, 1.54184 Å. Structure: DFT lattice parameters and positions (PBE+U).
Peak positions follow from Bragg's law for the DFT cell and can differ from measured ones.

Atomic structure:
Unit cell a=5.8814 b=5.8814 c=9.7770 alpha=90.28 beta=90.28 gamma=59.72
Fractional coordinates of all 28 atoms:
Li1 0.0000 0.0000 0.0000
Li2 0.0022 0.0022 0.5030
Li3 0.3376 0.3376 0.3978
Li4 0.6748 0.6748 0.8991
Ti1 0.1720 0.1720 0.7250
Ti2 0.3417 0.8383 0.2229
Ti3 0.8383 0.3417 0.2229
Mn1 0.3364 0.3364 0.9966
Mn2 0.6742 0.6742 0.5000
V1 0.1898 0.6578 0.7163
V2 0.6578 0.1898 0.7163
V3 0.8344 0.8344 0.2125
O1 0.0029 0.0029 0.3190
O2 0.0037 0.0037 0.8159
O3 0.0453 0.4901 0.8360
O4 0.1563 0.6811 0.1093
O5 0.1602 0.1602 0.1087
O6 0.3266 0.8408 0.6088
O7 0.3358 0.3358 0.6063
O8 0.4901 0.0453 0.8360
O9 0.4910 0.4910 0.8352
O10 0.5207 0.5207 0.3351
O11 0.5224 0.9680 0.3350
O12 0.6662 0.6662 0.1085
O13 0.6811 0.1563 0.1093
O14 0.8408 0.3266 0.6088
O15 0.8476 0.8476 0.6143
O16 0.9680 0.5224 0.3350

Peak list (6 most intense, 2θ from 15° to 90°, low angle first)
| 2theta | d [Å] | I/Imax |
| --- | --- | --- |
| 18.15 | 4.888 | 100 |
| 19.66 | 4.517 | 94 |
| 19.72 | 4.502 | 57 |
| 35.73 | 2.513 | 59 |
| 40.00 | 2.254 | 54 |
| 45.23 | 2.005 | 43 |

***

Entry 4:
This entry pairs a crystal structure of LiV3O8 with its calculated XRD peak list. Radiation: Cu Kα, 1.54184 Å. Structure: DFT lattice parameters and positions (PBE+U).
Peak positions follow from Bragg's law for the DFT cell and can differ from measured ones.

Atomic structure:
Unit cell a=5.5660 b=5.5660 c=5.9477 alpha=90.00 beta=90.00 gamma=120.00
Fractional coordinates of all 12 atoms:
Li1 0.0000 0.0000 0.0000
V1 0.0000 0.0000 0.5000
V2 0.3333 0.6667 0.7756
V3 0.6667 0.3333 0.2244
O1 0.1560 0.3119 0.6900
O2 0.1560 0.8440 0.6900
O3 0.3119 0.1560 0.3100
O4 0.3333 0.6667 0.0511
O5 0.6667 0.3333 0.9489
O6 0.6881 0.8440 0.6900
O7 0.8440 0.1560 0.3100
O8 0.8440 0.6881 0.3100

Peak list (6 most intense, 2θ from 15° to 90°, low angle first)
| 2theta | d [Å] | I/Imax |
| --- | --- | --- |
| 23.76 | 3.745 | 100 |
| 32.16 | 2.783 | 33 |
| 35.47 | 2.531 | 11 |
| 48.63 | 1.872 | 15 |
| 52.53 | 1.742 | 20 |
| 67.29 | 1.391 | 9 |

***

Entry 5:
This entry pairs a crystal structure of Li2VCrP2H2O10 with its calculated XRD peak list. Radiation: Cu Kα, 1.54184 Å. Structure: DFT lattice parameters and positions (PBE+U).
Peak positions follow from Bragg's law for the DFT cell and can differ from measured ones.

Atomic structure:
Unit cell a=5.4200 b=7.3740 c=14.3088 alpha=93.39 beta=95.19 gamma=106.29
Fractional coordinates of all 54 atoms:
Li1 0.0178 0.0934 0.4156
Li2 0.3160 0.2409 0.9175
Li3 0.3511 0.4257 0.7490
Li4 0.6489 0.5743 0.2510
Li5 0.6840 0.7591 0.0825
Li6 0.9822 0.9066 0.5844
V1 0.1672 0.1670 0.1665
V2 0.5000 0.0000 0.5000
V3 0.8328 0.8330 0.8335
Cr1 0.1662 0.6666 0.1667
Cr2 0.5000 0.5000 0.5000
Cr3 0.8338 0.3334 0.8333
P1 0.0308 0.6588 0.3922
P2 0.3003 0.6726 0.9417
P3 0.3653 0.9939 0.7259
P4 0.6347 0.0061 0.2741
P5 0.6997 0.3274 0.0583
P6 0.9692 0.3412 0.6078
H1 0.1060 0.8843 0.0471
H2 0.2278 0.4494 0.2864
H3 0.4388 0.2212 0.3800
H4 0.5612 0.7788 0.6200
H5 0.7722 0.5506 0.7136
H6 0.8940 0.1157 0.9529
O1 0.0375 0.7169 0.2898
O2 0.0617 0.8861 0.1127
O3 0.0777 0.8898 0.7317
O4 0.1220 0.8424 0.4621
O5 0.1264 0.8049 0.9247
O6 0.2050 0.5275 0.4092
O7 0.2096 0.4907 0.8712
O8 0.2585 0.4430 0.6019
O9 0.2716 0.4475 0.2207
O10 0.2934 0.6149 0.0440
O11 0.3707 0.0508 0.6236
O12 0.3989 0.2238 0.4462
O13 0.4120 0.2237 0.0643
O14 0.4573 0.1758 0.7962
O15 0.4602 0.1384 0.2578
O16 0.5398 0.8616 0.7422
O17 0.5427 0.8242 0.2038
O18 0.5880 0.7763 0.9357
O19 0.6011 0.7762 0.5538
O20 0.6293 0.9492 0.3764
O21 0.7066 0.3851 0.9560
O22 0.7284 0.5525 0.7793
O23 0.7415 0.5570 0.3981
O24 0.7904 0.5093 0.1288
O25 0.7950 0.4725 0.5908
O26 0.8736 0.1951 0.0753
O27 0.8780 0.1576 0.5379
O28 0.9223 0.1102 0.2683
O29 0.9383 0.1139 0.8873
O30 0.9625 0.2831 0.7102

Peak list (6 most intense, 2θ from 15° to 90°, low angle first)
| 2theta | d [Å] | I/Imax |
| --- | --- | --- |
| 18.51 | 4.794 | 28 |
| 18.75 | 4.731 | 36 |
| 26.59 | 3.353 | 58 |
| 26.85 | 3.320 | 100 |
| 28.88 | 3.091 | 69 |
| 36.00 | 2.494 | 28 |

***

Entry 6:
This entry pairs a crystal structure of Fe4Bi2O9 with its calculated XRD peak list. Radiation: Cu Kα, 1.54184 Å. Structure: DFT lattice parameters and positions (PBE+U).
Peak positions follow from Bragg's law for the DFT cell and can differ from measured ones.

Atomic structure:
Unit cell a=8.6246 b=12.2610 c=8.0536 alpha=90.00 beta=90.00 gamma=90.00
Fractional coordinates of all 60 atoms:
Fe1 0.0016 0.1283 0.0063
Fe2 0.0016 0.3717 0.0063
Fe3 0.1608 0.7500 0.3515
Fe4 0.1739 0.2500 0.3582
Fe5 0.3261 0.7500 0.8582
Fe6 0.3392 0.2500 0.8515
Fe7 0.4984 0.6283 0.5063
Fe8 0.4984 0.8717 0.5063
Fe9 0.5016 0.1283 0.4937
Fe10 0.5016 0.3717 0.4937
Fe11 0.6608 0.7500 0.1485
Fe12 0.6739 0.2500 0.1418
Fe13 0.8261 0.7500 0.6418
Fe14 0.8392 0.2500 0.6485
Fe15 0.9984 0.6283 0.9937
Fe16 0.9984 0.8717 0.9937
Bi1 0.1769 0.0071 0.6782
Bi2 0.1769 0.4929 0.6782
Bi3 0.3231 0.5071 0.1782
Bi4 0.3231 0.9929 0.1782
Bi5 0.6769 0.0071 0.8218
Bi6 0.6769 0.4929 0.8218
Bi7 0.8231 0.5071 0.3218
Bi8 0.8231 0.9929 0.3218
O1 0.0166 0.2500 0.5175
O2 0.0664 0.5036 0.1520
O3 0.0664 0.9964 0.1520
O4 0.0921 0.2500 0.1400
O5 0.0999 0.7500 0.1237
O6 0.2020 0.6187 0.8625
O7 0.2020 0.8813 0.8625
O8 0.2096 0.1222 0.8777
O9 0.2096 0.3778 0.8777
O10 0.2904 0.6222 0.3777
O11 0.2904 0.8778 0.3777
O12 0.2980 0.1187 0.3625
O13 0.2980 0.3813 0.3625
O14 0.4001 0.2500 0.6237
O15 0.4079 0.7500 0.6400
O16 0.4336 0.0036 0.6520
O17 0.4336 0.4964 0.6520
O18 0.4834 0.7500 0.0175
O19 0.5166 0.2500 0.9825
O20 0.5664 0.5036 0.3480
O21 0.5664 0.9964 0.3480
O22 0.5921 0.2500 0.3600
O23 0.5999 0.7500 0.3763
O24 0.7020 0.6187 0.6375
O25 0.7020 0.8813 0.6375
O26 0.7096 0.1222 0.6223
O27 0.7096 0.3778 0.6223
O28 0.7904 0.6222 0.1223
O29 0.7904 0.8778 0.1223
O30 0.7980 0.1187 0.1375
O31 0.7980 0.3813 0.1375
O32 0.9001 0.2500 0.8763
O33 0.9079 0.7500 0.8600
O34 0.9336 0.0036 0.8480
O35 0.9336 0.4964 0.8480
O36 0.9834 0.7500 0.4825

Peak list (6 most intense, 2θ from 15° to 90°, low angle first)
| 2theta | d [Å] | I/Imax |
| --- | --- | --- |
| 27.61 | 3.231 | 100 |
| 28.47 | 3.135 | 92 |
| 29.13 | 3.065 | 27 |
| 46.02 | 1.972 | 36 |
| 48.75 | 1.868 | 39 |
| 55.62 | 1.652 | 54 |

***

Entry 7:
This entry pairs a crystal structure of MnOF with its calculated XRD peak list. Radiation: Cu Kα, 1.54184 Å. Structure: DFT lattice parameters and positions (PBE+U).
Peak positions follow from Bragg's law for the DFT cell and can differ from measured ones.

Atomic structure:
Unit cell a=3.2166 b=3.7605 c=6.9348 alpha=90.00 beta=90.00 gamma=90.00
Fractional coordinates of all 6 atoms:
Mn1 0.2500 0.2500 0.1411
Mn2 0.7500 0.7500 0.8589
O1 0.2500 0.7500 0.0729
O2 0.7500 0.2500 0.9271
F1 0.2500 0.7500 0.6863
F2 0.7500 0.2500 0.3137

Peak list (6 most intense, 2θ from 15° to 90°, low angle first)
| 2theta | d [Å] | I/Imax |
| --- | --- | --- |
| 26.97 | 3.306 | 100 |
| 30.64 | 2.918 | 25 |
| 38.16 | 2.358 | 86 |
| 48.44 | 1.879 | 39 |
| 54.65 | 1.680 | 40 |
| 63.25 | 1.470 | 31 |